Starting from a DFT-relaxed cell (GGA-PBE, OQMD), the PXRD pattern of Ta4TlGeC2 was computed for λ = 1.5418 Å (Cu Kα).
Peak positions follow from Bragg's law for the DFT cell and can differ from measured ones.

Most intense lines, 5° ≤ 2θ ≤ 70°, sorted by position:
d/Å	intensity
2.793	27
2.375	100
2.256	15
1.755	12
1.613	23
1.447	9

Structural model:
Cell: 3.2256 3.2256 13.5347 Å, 90.00 90.00 120.00°
Atoms (fractional coordinates):
Ta (0.0000, 0.0000, 0.1469)
Ta (0.0000, 0.0000, 0.8531)
Ta (0.3333, 0.6667, 0.3203)
Ta (0.3333, 0.6667, 0.6797)
Tl (0.0000, 0.0000, 0.5000)
Ge (0.3333, 0.6667, 0.0000)
C (0.6667, 0.3333, 0.2349)
C (0.6667, 0.3333, 0.7651)

Starting from a DFT-relaxed cell (GGA-PBE, OQMD), the PXRD pattern of GdYCo2C2 was computed for λ = 1.5418 Å (Cu Kα).
Peak positions follow from Bragg's law for the DFT cell and can differ from measured ones.

Most intense lines, 5° ≤ 2θ ≤ 70°, sorted by position:
d/Å	intensity
3.626	14
2.564	47
2.519	100
1.813	20
1.472	36
1.446	15

Structural model:
Cell: 3.6263 3.6263 7.0045 Å, 90.00 90.00 90.00°
Atoms (fractional coordinates):
Gd (0.0000, 0.0000, 0.0000)
Y (0.0000, 0.0000, 0.5000)
Co (0.5000, 0.5000, 0.2517)
Co (0.5000, 0.5000, 0.7483)
C (0.0000, 0.5000, 0.7487)
C (0.5000, 0.0000, 0.2513)

Starting from a DFT-relaxed cell (GGA-PBE, OQMD), the PXRD pattern of Gd2Al10Si2Au5 was computed for λ = 1.5418 Å (Cu Kα).
Peak positions follow from Bragg's law for the DFT cell and can differ from measured ones.

Most intense lines, 5° ≤ 2θ ≤ 70°, sorted by position:
d/Å	intensity
3.755	55
3.048	100
3.029	57
2.142	49
1.852	37
1.752	41

Structural model:
Cell: 19.7519 19.7519 19.7519 Å, 167.55 167.55 17.64°
Atoms (fractional coordinates):
Gd (0.1103, 0.1103, 0.0000)
Gd (0.8897, 0.8897, 0.0000)
Al (0.0386, 0.5386, 0.5000)
Al (0.1741, 0.6741, 0.5000)
Al (0.2500, 0.7500, 0.5000)
Al (0.3259, 0.8259, 0.5000)
Al (0.4614, 0.9614, 0.5000)
Al (0.5386, 0.0386, 0.5000)
Al (0.6741, 0.1741, 0.5000)
Al (0.7500, 0.2500, 0.5000)
Al (0.8259, 0.3259, 0.5000)
Al (0.9614, 0.4614, 0.5000)
Si (0.3630, 0.3630, 0.0000)
Si (0.6370, 0.6370, 0.0000)
Au (0.0000, 0.0000, 0.0000)
Au (0.2117, 0.2117, 0.0000)
Au (0.4248, 0.4248, 0.0000)
Au (0.5752, 0.5752, 0.0000)
Au (0.7883, 0.7883, 0.0000)

Starting from a DFT-relaxed cell (GGA-PBE, OQMD), the PXRD pattern of Cu4TeSe was computed for λ = 1.5418 Å (Cu Kα).
Peak positions follow from Bragg's law for the DFT cell and can differ from measured ones.

Most intense lines, 5° ≤ 2θ ≤ 70°, sorted by position:
d/Å	intensity
3.553	41
3.322	52
2.325	40
2.083	100
1.904	43
1.797	20

Structural model:
Cell: 14.3952 14.3952 14.3952 Å, 16.64 16.64 16.64°
Atoms (fractional coordinates):
Cu (0.0418, 0.0418, 0.0418)
Cu (0.1492, 0.1492, 0.1492)
Cu (0.2713, 0.2713, 0.2713)
Cu (0.4231, 0.4231, 0.4231)
Cu (0.5769, 0.5769, 0.5769)
Cu (0.7287, 0.7287, 0.7287)
Cu (0.8508, 0.8508, 0.8508)
Cu (0.9582, 0.9582, 0.9582)
Te (0.2107, 0.2107, 0.2107)
Te (0.7893, 0.7893, 0.7893)
Se (0.3654, 0.3654, 0.3654)
Se (0.6346, 0.6346, 0.6346)

Starting from a DFT-relaxed cell (GGA-PBE, OQMD), the PXRD pattern of Tb3TmPb2C2 was computed for λ = 1.5418 Å (Cu Kα).
Peak positions follow from Bragg's law for the DFT cell and can differ from measured ones.

Most intense lines, 5° ≤ 2θ ≤ 70°, sorted by position:
d/Å	intensity
3.148	22
2.717	100
2.692	21
1.817	21
1.559	19
1.506	22

Structural model:
Cell: 3.6347 3.6347 16.1499 Å, 90.00 90.00 120.00°
Atoms (fractional coordinates):
Tb (0.0000, 0.0000, 0.0000)
Tb (0.0000, 0.0000, 0.3356)
Tb (0.3333, 0.6667, 0.5023)
Tm (0.3333, 0.6667, 0.8365)
Pb (0.0000, 0.0000, 0.6715)
Pb (0.3333, 0.6667, 0.1678)
C (0.6667, 0.3333, 0.4190)
C (0.6667, 0.3333, 0.9163)